Rb5Ge2S6: calculated powder XRD pattern (copper Kα), based on a crystal structure in Alexandria, relaxed with GGA-PBE.
Neutral-atom scattering factors, no anomalous dispersion.

Atomic structure:
Cell lengths 13.063, 8.348, 17.224 Å; angles 90.00, 101.44, 90.00 degrees
Space group C2/c (No. 15)
One atom of each set of equivalent atoms:
Rb  0.000  0.133  0.250 [4 per cell]
Rb  0.050  0.235  0.998 [8 per cell]
Rb  0.158  0.408  0.721 [8 per cell]
Ge  0.226  0.365  0.427 [8 per cell]
S  0.066  0.456  0.374 [8 per cell]
S  0.151  0.048  0.639 [8 per cell]
S  0.219  0.078  0.434 [8 per cell]

Most intense lines, 10 to 80 degrees two-theta, sorted by position:
| 2θ/deg | d [Å] | I (rel.) | h k l |
| --- | --- | --- | --- |
| 13.17 | 6.723 | 54.8 | 1 1 -1 |
| 23.41 | 3.800 | 29.2 | 1 1 -4 |
| 23.78 | 3.742 | 37.7 | 0 2 2 |
| 24.91 | 3.575 | 100.0 | 3 1 1 |
| 25.87 | 3.444 | 98.2 | 3 1 -3 |
| 26.58 | 3.353 | 88.1 | 0 2 3 |
| 27.52 | 3.241 | 40.7 | 2 0 4 |
| 28.69 | 3.111 | 31.6 | 3 1 -4 |
| 38.13 | 2.360 | 30.9 | 1 1 -7 |
| 41.54 | 2.174 | 31.9 | 6 0 -2 |